The following is a calculated XRD peak list of NdPuRh. It was derived from a GGA-PBE-relaxed structure, using CuKα.

The 6 most intense peaks (10° ≤ 2θ ≤ 90°), in order of falling intensity:
d 2.841, 31.49 deg, intensity 100
d 2.455, 36.61 deg, intensity 96
d 2.889, 30.95 deg, intensity 67
d 5.769, 15.36 deg, intensity 49
d 3.253, 27.42 deg, intensity 44
d 1.765, 51.80 deg, intensity 42

Structure:
```
data_NdPuRh
_cell_length_a 5.9578
_cell_length_b 4.4573
_cell_length_c 6.0831
_cell_angle_alpha 90.00
_cell_angle_beta 104.47
_cell_angle_gamma 90.00
_symmetry_space_group_name_H-M 'P 1 21/m 1'
_symmetry_Int_Tables_number 11
loop_
_symmetry_equiv_pos_as_xyz
'x,y,z'
'-x,-y,-z'
'-x,y+1/2,-z'
'x,-y+1/2,z'
loop_
_atom_site_label
_atom_site_type_symbol
_atom_site_fract_x
_atom_site_fract_y
_atom_site_fract_z
Nd1 Nd 0.0777 0.2500 0.2772
Pu1 Pu 0.4695 0.2500 0.8271
Rh1 Rh 0.3536 0.7500 0.5666
```